# 1
Li7Mn4CoO12: simulated X-ray diffraction stick pattern (Cu Kα, 1.54184 Å), based on a structure optimized by DFT (GGA+U).

Atomic structure:
```
Li7Mn4CoO12
1.0
4.862 -4.302 0.000
4.862 4.302 0.000
-0.688 0.000 5.200
Li Mn Co O
7 4 1 12
Direct
0.000 0.000 0.000 Li
0.085 0.415 0.256 Li
0.244 0.237 0.762 Li
0.420 0.087 0.256 Li
0.585 0.915 0.744 Li
0.763 0.756 0.238 Li
0.913 0.580 0.744 Li
0.167 0.833 0.500 Mn
0.334 0.666 0.000 Mn
0.503 0.497 0.500 Mn
0.836 0.164 0.500 Mn
0.670 0.330 0.000 Co
0.069 0.715 0.154 O
0.118 0.114 0.399 O
0.217 0.550 0.608 O
0.285 0.931 0.846 O
0.387 0.378 0.106 O
0.450 0.783 0.392 O
0.556 0.214 0.613 O
0.622 0.613 0.894 O
0.720 0.068 0.152 O
0.786 0.444 0.387 O
0.886 0.882 0.601 O
0.932 0.280 0.848 O
```

Principal peaks in the range 2θ from 10° to 80°, sorted by position:
13.80 deg, intensity 13; 18.41 deg, intensity 100; 34.49 deg, intensity 17; 36.39 deg, intensity 23; 41.57 deg, intensity 34; 44.35 deg, intensity 56; 47.33 deg, intensity 9; 58.48 deg, intensity 9; 62.24 deg, intensity 16; 62.57 deg, intensity 16; 64.00 deg, intensity 7; 65.04 deg, intensity 8

# 2
Li7Mn2Co3O12: simulated X-ray diffraction stick pattern (Cu Kα, 1.54184 Å), based on a structure optimized by DFT (GGA+U).

Atomic structure:
```
Li7Mn2Co3O12
1.0
5.052 0.000 0.000
0.000 8.676 0.000
-1.690 0.000 4.795
Li Mn Co O
7 2 3 12
Direct
0.000 0.000 0.000 Li
0.000 0.153 0.500 Li
0.000 0.494 0.500 Li
0.000 0.844 0.500 Li
0.500 0.005 0.500 Li
0.500 0.322 0.500 Li
0.500 0.667 0.500 Li
0.500 0.495 0.000 Mn
0.500 0.838 0.000 Mn
0.000 0.314 0.000 Co
0.000 0.673 0.000 Co
0.500 0.162 0.000 Co
0.249 0.498 0.217 O
0.256 0.169 0.228 O
0.257 0.825 0.224 O
0.269 0.663 0.773 O
0.271 0.333 0.775 O
0.279 0.996 0.773 O
0.721 0.996 0.227 O
0.729 0.333 0.225 O
0.731 0.663 0.227 O
0.743 0.825 0.776 O
0.744 0.169 0.772 O
0.751 0.498 0.783 O
```

Principal peaks in the range 2θ from 10° to 80°, sorted by position:
10.20 deg, intensity 8; 18.50 deg, intensity 100; 27.77 deg, intensity 8; 36.10 deg, intensity 13; 36.34 deg, intensity 25; 43.77 deg, intensity 28; 44.01 deg, intensity 55; 48.09 deg, intensity 8; 58.02 deg, intensity 10; 63.61 deg, intensity 22; 63.98 deg, intensity 15; 67.23 deg, intensity 9

# 3
Li7Mn2Co3O12: simulated X-ray diffraction stick pattern (Cu Kα, 1.54184 Å), based on a structure optimized by DFT (GGA+U).

Atomic structure:
```
Li7Mn2Co3O12
1.0
4.989 0.000 0.000
1.651 5.659 0.000
1.558 1.087 7.584
Li Mn Co O
7 2 3 12
Direct
0.000 0.000 0.000 Li
0.000 0.500 0.000 Li
0.005 0.164 0.318 Li
0.484 0.668 0.841 Li
0.500 0.000 0.500 Li
0.516 0.332 0.159 Li
0.995 0.836 0.682 Li
0.003 0.665 0.329 Mn
0.997 0.335 0.671 Mn
0.494 0.161 0.844 Co
0.500 0.500 0.500 Co
0.506 0.839 0.156 Co
0.232 0.491 0.746 O
0.238 0.355 0.433 O
0.241 0.035 0.742 O
0.250 0.667 0.109 O
0.252 0.803 0.417 O
0.278 0.159 0.083 O
0.722 0.841 0.917 O
0.748 0.197 0.583 O
0.750 0.333 0.891 O
0.759 0.965 0.258 O
0.762 0.645 0.567 O
0.768 0.509 0.254 O
```

Principal peaks in the range 2θ from 10° to 80°, sorted by position:
18.31 deg, intensity 100; 35.66 deg, intensity 15; 36.05 deg, intensity 13; 36.61 deg, intensity 12; 43.11 deg, intensity 29; 43.62 deg, intensity 28; 44.22 deg, intensity 27; 47.64 deg, intensity 8; 62.98 deg, intensity 23; 63.09 deg, intensity 7; 63.98 deg, intensity 7; 64.62 deg, intensity 7

# 4
Li7Mn4CoO12: simulated X-ray diffraction stick pattern (Cu Kα, 1.54184 Å), based on a structure optimized by DFT (GGA+U).

Atomic structure:
```
Li7Mn4CoO12
1.0
5.912 0.000 0.000
0.264 5.949 0.000
1.626 1.454 6.103
Li Mn Co O
7 4 1 12
Direct
0.000 0.000 0.000 Li
0.000 0.500 0.000 Li
0.327 0.323 0.680 Li
0.338 0.823 0.685 Li
0.500 0.500 0.000 Li
0.662 0.177 0.315 Li
0.673 0.677 0.320 Li
0.172 0.170 0.326 Mn
0.179 0.669 0.331 Mn
0.821 0.331 0.669 Mn
0.828 0.830 0.674 Mn
0.500 0.000 0.000 Co
0.060 0.078 0.651 O
0.079 0.605 0.659 O
0.254 0.234 0.016 O
0.266 0.764 0.021 O
0.381 0.400 0.344 O
0.416 0.944 0.317 O
0.584 0.056 0.683 O
0.619 0.600 0.656 O
0.734 0.236 0.979 O
0.746 0.766 0.984 O
0.921 0.395 0.341 O
0.940 0.922 0.349 O
```

Principal peaks in the range 2θ from 10° to 80°, sorted by position:
15.31 deg, intensity 9; 18.44 deg, intensity 100; 34.97 deg, intensity 14; 36.26 deg, intensity 12; 36.65 deg, intensity 12; 42.15 deg, intensity 31; 44.17 deg, intensity 27; 44.54 deg, intensity 26; 62.44 deg, intensity 8; 62.78 deg, intensity 7; 63.20 deg, intensity 7; 65.01 deg, intensity 9

# 5
Li7Mn4CoO12: simulated X-ray diffraction stick pattern (Cu Kα, 1.54184 Å), based on a structure optimized by DFT (GGA+U).

Atomic structure:
```
Li7Mn4CoO12
1.0
7.810 -1.440 0.000
7.810 1.440 0.000
-1.515 0.000 9.671
Li Mn Co O
7 4 1 12
Direct
0.000 0.000 0.000 Li
0.085 0.085 0.753 Li
0.246 0.246 0.253 Li
0.429 0.429 0.761 Li
0.571 0.571 0.239 Li
0.754 0.754 0.747 Li
0.915 0.915 0.247 Li
0.164 0.164 0.495 Mn
0.338 0.338 0.004 Mn
0.662 0.662 0.996 Mn
0.836 0.836 0.505 Mn
0.500 0.500 0.500 Co
0.031 0.031 0.384 O
0.131 0.131 0.111 O
0.212 0.212 0.893 O
0.301 0.301 0.621 O
0.368 0.368 0.387 O
0.443 0.443 0.116 O
0.557 0.557 0.884 O
0.632 0.632 0.613 O
0.699 0.699 0.379 O
0.788 0.788 0.107 O
0.869 0.869 0.889 O
0.969 0.969 0.616 O
```

Principal peaks in the range 2θ from 10° to 80°, sorted by position:
13.53 deg, intensity 9; 18.35 deg, intensity 100; 34.88 deg, intensity 18; 36.25 deg, intensity 24; 42.28 deg, intensity 32; 43.98 deg, intensity 57; 47.53 deg, intensity 9; 57.93 deg, intensity 10; 62.49 deg, intensity 16; 62.80 deg, intensity 16; 63.16 deg, intensity 7; 64.74 deg, intensity 8

# 6
Li7Mn2Co3O12: simulated X-ray diffraction stick pattern (Cu Kα, 1.54184 Å), based on a structure optimized by DFT (GGA+U).

Atomic structure:
```
Li7Mn2Co3O12
1.0
2.512 -4.353 0.000
2.512 4.353 0.000
-1.680 0.000 9.631
Li Mn Co O
7 2 3 12
Direct
0.000 0.000 0.000 Li
0.083 0.399 0.225 Li
0.252 0.243 0.776 Li
0.396 0.075 0.223 Li
0.601 0.917 0.775 Li
0.757 0.748 0.224 Li
0.925 0.604 0.777 Li
0.166 0.834 0.500 Mn
0.499 0.501 0.500 Mn
0.334 0.666 0.000 Co
0.668 0.332 0.000 Co
0.832 0.168 0.500 Co
0.044 0.680 0.110 O
0.152 0.131 0.387 O
0.226 0.562 0.610 O
0.320 0.956 0.890 O
0.394 0.396 0.110 O
0.438 0.774 0.390 O
0.510 0.205 0.611 O
0.604 0.606 0.890 O
0.683 0.033 0.113 O
0.795 0.490 0.389 O
0.869 0.848 0.613 O
0.967 0.317 0.887 O
```

Principal peaks in the range 2θ from 10° to 80°, sorted by position:
18.42 deg, intensity 100; 20.64 deg, intensity 7; 21.32 deg, intensity 6; 36.29 deg, intensity 37; 37.91 deg, intensity 10; 43.90 deg, intensity 79; 47.98 deg, intensity 12; 57.82 deg, intensity 15; 63.43 deg, intensity 20; 64.20 deg, intensity 21; 67.42 deg, intensity 14; 76.02 deg, intensity 6

# 7
Li2Mn3CoO8: simulated X-ray diffraction stick pattern (Cu Kα, 1.54184 Å), based on a structure optimized by DFT (GGA+U).

Atomic structure:
```
Li2Mn3CoO8
1.0
5.824 0.000 0.000
-2.912 5.044 0.000
0.000 0.000 9.650
Li Mn Co O
4 6 2 16
Direct
0.000 0.000 0.000 Li
0.000 0.000 0.500 Li
0.333 0.667 0.389 Li
0.667 0.333 0.889 Li
0.169 0.337 0.717 Mn
0.169 0.831 0.717 Mn
0.337 0.169 0.217 Mn
0.663 0.831 0.717 Mn
0.831 0.169 0.217 Mn
0.831 0.663 0.217 Mn
0.333 0.667 0.996 Co
0.667 0.333 0.496 Co
0.000 0.000 0.314 O
0.000 0.000 0.814 O
0.034 0.517 0.832 O
0.158 0.317 0.108 O
0.158 0.842 0.108 O
0.317 0.158 0.608 O
0.333 0.667 0.611 O
0.483 0.517 0.832 O
0.483 0.966 0.832 O
0.517 0.034 0.332 O
0.517 0.483 0.332 O
0.667 0.333 0.111 O
0.683 0.842 0.108 O
0.842 0.158 0.608 O
0.842 0.683 0.608 O
0.966 0.483 0.332 O
```

Principal peaks in the range 2θ from 10° to 80°, sorted by position:
18.39 deg, intensity 73; 19.86 deg, intensity 100; 25.55 deg, intensity 34; 33.03 deg, intensity 43; 36.02 deg, intensity 61; 36.83 deg, intensity 52; 40.35 deg, intensity 39; 45.71 deg, intensity 58; 52.49 deg, intensity 22; 56.07 deg, intensity 22; 60.39 deg, intensity 51; 63.93 deg, intensity 41

# 8
Li4MnCo2O7: simulated X-ray diffraction stick pattern (Cu Kα, 1.54184 Å), based on a structure optimized by DFT (GGA+U).

Atomic structure:
```
Li4MnCo2O7
1.0
10.538 -1.445 0.000
10.538 1.445 0.000
-1.715 0.000 8.185
Li Mn Co O
8 2 4 14
Direct
0.000 0.000 0.000 Li
0.000 0.000 0.500 Li
0.142 0.142 0.575 Li
0.284 0.284 0.142 Li
0.429 0.429 0.691 Li
0.571 0.571 0.309 Li
0.716 0.716 0.858 Li
0.858 0.858 0.425 Li
0.431 0.431 0.227 Mn
0.569 0.569 0.773 Mn
0.141 0.141 0.071 Co
0.287 0.287 0.643 Co
0.713 0.713 0.357 Co
0.859 0.859 0.929 Co
0.007 0.007 0.752 O
0.135 0.135 0.821 O
0.145 0.145 0.318 O
0.280 0.280 0.393 O
0.290 0.290 0.892 O
0.426 0.426 0.983 O
0.427 0.427 0.442 O
0.573 0.573 0.558 O
0.574 0.574 0.017 O
0.710 0.710 0.108 O
0.720 0.720 0.607 O
0.855 0.855 0.682 O
0.865 0.865 0.179 O
0.993 0.993 0.248 O
```

Principal peaks in the range 2θ from 10° to 80°, sorted by position:
18.36 deg, intensity 100; 35.73 deg, intensity 13; 36.29 deg, intensity 26; 37.85 deg, intensity 7; 43.28 deg, intensity 28; 43.89 deg, intensity 56; 47.82 deg, intensity 9; 57.15 deg, intensity 7; 57.75 deg, intensity 9; 63.14 deg, intensity 22; 63.50 deg, intensity 15; 64.51 deg, intensity 7